[1]
# Tl4SiS4
Theoretical XRD peak list, a wavelength of 1.5418 Å. Input: a cell relaxed with GGA-PBE.
Kinematic intensities with the Lorentz-polarization factor, no thermal factor.

Unit cell a=8.7574 b=8.7574 c=7.8076 alpha=107.70 beta=107.70 gamma=84.38
Fractional positions:
Tl 0.0118 0.9882 0.5000
Tl 0.2154 0.4280 0.9302
Tl 0.3733 0.8316 0.9600
Tl 0.4280 0.2154 0.4302
Tl 0.5335 0.8068 0.5012
Tl 0.8068 0.5335 0.0012
Tl 0.8316 0.3733 0.4600
Tl 0.9882 0.0118 0.0000
Si 0.1790 0.5943 0.4510
Si 0.5943 0.1790 0.9510
S 0.0255 0.7017 0.6228
S 0.0850 0.3659 0.2664
S 0.1899 0.7410 0.2794
S 0.3659 0.0850 0.7664
S 0.4152 0.5625 0.6274
S 0.5625 0.4152 0.1274
S 0.7017 0.0255 0.1228
S 0.7410 0.1899 0.7794

Top 6 peaks for 5 to 70 degrees two-theta, in order of rising 2θ:
d (Å)	2theta	I (rel.)
4.167	21.33	72
3.740	23.79	95
3.560	25.01	100
3.298	27.04	88
3.136	28.46	74
2.634	34.04	83



[2]
# USiS
Theoretical XRD peak list, a wavelength of 1.5418 Å. Input: a cell relaxed with GGA-PBE.
Kinematic intensities with the Lorentz-polarization factor, no thermal factor.

Unit cell a=4.0631 b=4.0631 c=7.1614 alpha=90.00 beta=90.00 gamma=90.00
Fractional positions:
U 0.2500 0.2500 0.2491
U 0.7500 0.7500 0.7509
Si 0.2500 0.2500 0.6352
Si 0.7500 0.7500 0.3648
S 0.2500 0.7500 0.0000
S 0.7500 0.2500 0.0000

Top 6 peaks for 5 to 70 degrees two-theta, in order of rising 2θ:
d (Å)	2theta	I (rel.)
3.581	24.87	24
3.534	25.20	100
2.873	31.13	35
2.241	40.24	50
2.058	43.99	33
1.761	51.92	30



[3]
# USiS
Theoretical XRD peak list, a wavelength of 1.5418 Å. Input: a cell relaxed with GGA-PBE.
Kinematic intensities with the Lorentz-polarization factor, no thermal factor.

Unit cell a=3.7627 b=3.7627 c=8.0050 alpha=90.00 beta=90.00 gamma=90.00
Fractional positions:
U 0.2500 0.2500 0.2059
U 0.7500 0.7500 0.7941
Si 0.2500 0.7500 0.5000
Si 0.7500 0.2500 0.5000
S 0.2500 0.2500 0.8549
S 0.7500 0.7500 0.1451

Top 6 peaks for 5 to 70 degrees two-theta, in order of rising 2θ:
d (Å)	2theta	I (rel.)
4.002	22.21	30
3.405	26.17	100
2.661	33.69	39
2.216	40.72	46
1.882	48.35	37
1.647	55.83	27



[4]
# Y3SiS2
Theoretical XRD peak list, a wavelength of 1.5418 Å. Input: a cell relaxed with GGA-PBE.
Kinematic intensities with the Lorentz-polarization factor, no thermal factor.

Unit cell a=6.9127 b=6.9127 c=6.9127 alpha=146.16 beta=131.91 gamma=60.09
Fractional positions:
Y 0.0000 0.0000 0.0000
Y 0.3353 0.3353 0.0000
Y 0.6647 0.6647 0.0000
Si 0.5000 0.0000 0.5000
S 0.1666 0.6666 0.5000
S 0.8334 0.3334 0.5000

Top 6 peaks for 5 to 70 degrees two-theta, in order of rising 2θ:
d (Å)	2theta	I (rel.)
3.274	27.24	33
3.255	27.40	33
2.833	31.58	100
2.816	31.77	49
1.997	45.42	87
1.637	56.19	18



[5]
# Y4SiS3
Theoretical XRD peak list, a wavelength of 1.5418 Å. Input: a cell relaxed with GGA-PBE.
Kinematic intensities with the Lorentz-polarization factor, no thermal factor.

Unit cell a=6.8949 b=6.8949 c=6.8949 alpha=131.91 beta=131.91 gamma=70.38
Fractional positions:
Y 0.0000 0.5000 0.5000
Y 0.2499 0.2499 0.0000
Y 0.5000 0.0000 0.5000
Y 0.7501 0.7501 0.0000
Si 0.0000 0.0000 0.0000
S 0.2500 0.7500 0.5000
S 0.5000 0.5000 0.0000
S 0.7500 0.2500 0.5000

Top 6 peaks for 5 to 70 degrees two-theta, in order of rising 2θ:
d (Å)	2theta	I (rel.)
3.247	27.47	44
2.812	31.82	100
1.989	45.62	70
1.695	54.12	14
1.624	56.69	24
1.405	66.57	7



[6]
# Y6ZnSi2S14
Theoretical XRD peak list, a wavelength of 1.5418 Å. Input: a cell relaxed with GGA-PBE.
Kinematic intensities with the Lorentz-polarization factor, no thermal factor.

Unit cell a=9.9363 b=9.9363 c=5.6340 alpha=90.00 beta=90.00 gamma=120.00
Fractional positions:
Y 0.0222 0.5661 0.0000
Y 0.3111 0.1006 0.4990
Y 0.4339 0.4561 0.0000
Y 0.5439 0.9778 0.0000
Y 0.7895 0.6889 0.4990
Y 0.8994 0.2105 0.4990
Zn 0.6667 0.3333 0.2593
Si 0.0000 0.0000 0.9144
Si 0.3333 0.6667 0.4110
S 0.0000 0.0000 0.2879
S 0.0788 0.8534 0.7625
S 0.1466 0.2253 0.7625
S 0.1869 0.4415 0.2597
S 0.2546 0.8131 0.2597
S 0.3333 0.6667 0.7853
S 0.4170 0.1716 0.0258
S 0.5019 0.4185 0.5060
S 0.5585 0.7454 0.2597
S 0.5815 0.0834 0.5060
S 0.7545 0.5830 0.0258
S 0.7747 0.9212 0.7625
S 0.8284 0.2455 0.0258
S 0.9166 0.4981 0.5060

Top 6 peaks for 5 to 70 degrees two-theta, in order of rising 2θ:
d (Å)	2theta	I (rel.)
3.419	26.06	100
2.817	31.77	56
2.484	36.16	55
2.387	37.69	81
2.357	38.19	70
2.198	41.07	68



[7]
# Zr2SiS2
Theoretical XRD peak list, a wavelength of 1.5418 Å. Input: a cell relaxed with GGA-PBE.
Kinematic intensities with the Lorentz-polarization factor, no thermal factor.

Unit cell a=2.7725 b=2.7725 c=21.1530 alpha=90.00 beta=90.00 gamma=90.00
Fractional positions:
Zr 0.0000 0.0000 0.2330
Zr 0.0000 0.0000 0.7670
Si 0.0000 0.0000 0.5000
S 0.0000 0.0000 0.1193
S 0.0000 0.0000 0.8807

Top 6 peaks for 5 to 70 degrees two-theta, in order of rising 2θ:
d (Å)	2theta	I (rel.)
10.576	8.36	100
7.051	12.55	37
5.288	16.76	18
2.772	32.29	32
2.682	33.41	16
1.913	47.52	12



[8]
# ZrSiS
Theoretical XRD peak list, a wavelength of 1.5418 Å. Input: a cell relaxed with GGA-PBE.
Kinematic intensities with the Lorentz-polarization factor, no thermal factor.

Unit cell a=3.5558 b=3.5558 c=8.1801 alpha=90.00 beta=90.00 gamma=90.00
Fractional positions:
Zr 0.2500 0.2500 0.2320
Zr 0.7500 0.7500 0.7680
Si 0.2500 0.7500 0.5000
Si 0.7500 0.2500 0.5000
S 0.2500 0.2500 0.8779
S 0.7500 0.7500 0.1221

Top 6 peaks for 5 to 70 degrees two-theta, in order of rising 2θ:
d (Å)	2theta	I (rel.)
3.261	27.35	100
2.514	35.71	49
2.164	41.74	82
2.142	42.19	88
1.778	51.39	41
1.374	68.28	36